This entry pairs a crystal structure of Mo2H2O7 with its calculated X-ray diffraction stick pattern. Radiation: CuKα. Structure: DFT lattice parameters and positions (GGA+U).
Kinematic intensities with the Lorentz-polarization factor, no thermal factor.

Structure:
Unit cell a=5.677 b=5.677 c=11.273 alpha=92.69 beta=92.69 gamma=114.41
Positions (direct):
Mo: 0.157 0.181 0.380
Mo: 0.181 0.157 0.880
Mo: 0.819 0.843 0.120
Mo: 0.843 0.819 0.620
H: 0.202 0.763 0.027
H: 0.237 0.798 0.473
H: 0.763 0.202 0.527
H: 0.798 0.237 0.973
O: 0.075 0.835 0.004
O: 0.099 0.901 0.750
O: 0.154 0.405 0.807
O: 0.165 0.925 0.496
O: 0.269 0.506 0.428
O: 0.405 0.154 0.307
O: 0.494 0.731 0.072
O: 0.506 0.269 0.928
O: 0.595 0.846 0.693
O: 0.731 0.494 0.572
O: 0.835 0.075 0.504
O: 0.846 0.595 0.193
O: 0.901 0.099 0.250
O: 0.925 0.165 0.996

Largest 10 diffraction maxima, by angle, 10° ≤ 2θ ≤ 90°:
two_theta, I (rel.)
17.2, 63
18.6, 86
22.5, 100
24.3, 97
35.0, 18
37.2, 25
37.3, 22
50.2, 15
50.3, 15
53.3, 24

This entry pairs a crystal structure of Mo2H2O7 with its calculated X-ray diffraction stick pattern. Radiation: CuKα. Structure: DFT lattice parameters and positions (GGA+U).
Kinematic intensities with the Lorentz-polarization factor, no thermal factor.

Structure:
Unit cell a=7.859 b=3.768 c=9.809 alpha=90.00 beta=111.32 gamma=90.00
Positions (direct):
Mo: 0.150 0.250 0.449
Mo: 0.183 0.750 0.982
Mo: 0.817 0.250 0.018
Mo: 0.850 0.750 0.551
H: 0.334 0.250 0.296
H: 0.447 0.250 0.714
H: 0.553 0.750 0.286
H: 0.666 0.750 0.704
O: 0.020 0.250 0.258
O: 0.084 0.750 0.472
O: 0.098 0.250 0.971
O: 0.319 0.250 0.643
O: 0.321 0.750 0.169
O: 0.342 0.750 0.901
O: 0.362 0.250 0.402
O: 0.638 0.750 0.598
O: 0.658 0.250 0.099
O: 0.679 0.250 0.831
O: 0.681 0.750 0.357
O: 0.902 0.750 0.029
O: 0.916 0.250 0.528
O: 0.980 0.750 0.742

Largest 10 diffraction maxima, by angle, 10° ≤ 2θ ≤ 90°:
two_theta, I (rel.)
12.1, 74
19.4, 77
25.0, 32
26.5, 30
26.8, 100
29.9, 34
34.8, 27
45.7, 16
48.3, 22
54.0, 20

This entry pairs a crystal structure of MoHO with its calculated X-ray diffraction stick pattern. Radiation: CuKα. Structure: DFT lattice parameters and positions (GGA+U).
Kinematic intensities with the Lorentz-polarization factor, no thermal factor.

Structure:
Unit cell a=2.867 b=2.867 c=19.636 alpha=90.00 beta=90.00 gamma=120.00
Positions (direct):
Mo: 0.333 0.667 0.108
Mo: 0.333 0.667 0.641
Mo: 0.667 0.333 0.359
Mo: 0.667 0.333 0.892
H: 0.333 0.667 0.836
H: 0.333 0.667 0.947
H: 0.667 0.333 0.053
H: 0.667 0.333 0.164
O: 0.333 0.667 0.296
O: 0.333 0.667 0.422
O: 0.667 0.333 0.578
O: 0.667 0.333 0.704

Largest 10 diffraction maxima, by angle, 10° ≤ 2θ ≤ 90°:
two_theta, I (rel.)
13.5, 18
18.1, 100
36.2, 21
37.4, 61
40.7, 18
43.1, 12
45.9, 38
56.1, 15
65.1, 13
68.2, 15

This entry pairs a crystal structure of MoHO3 with its calculated X-ray diffraction stick pattern. Radiation: CuKα. Structure: DFT lattice parameters and positions (GGA+U).
Kinematic intensities with the Lorentz-polarization factor, no thermal factor.

Structure:
Unit cell a=8.007 b=8.007 c=3.964 alpha=94.61 beta=94.61 gamma=28.66
Positions (direct):
Mo: 0.083 0.083 0.279
Mo: 0.917 0.917 0.721
H: 0.352 0.128 0.491
H: 0.872 0.648 0.509
O: 0.139 0.276 0.349
O: 0.364 0.470 0.740
O: 0.530 0.636 0.260
O: 0.724 0.861 0.651
O: 0.884 0.005 0.235
O: 0.995 0.116 0.765

Largest 10 diffraction maxima, by angle, 10° ≤ 2θ ≤ 90°:
two_theta, I (rel.)
11.4, 94
23.2, 100
24.4, 50
26.2, 38
32.9, 19
34.8, 32
35.6, 18
45.8, 17
47.1, 23
51.6, 17